HoW4O12: simulated powder diffraction line list (a wavelength of 1.5418 Å), based on a crystal structure in Alexandria, relaxed with GGA+U.
Lines closer than 0.1° are merged.

Structural model:
```
17
Lattice="-3.761 3.912 3.919 3.761 -3.912 3.919 3.761 3.912 -3.919" Properties=species:S:1:pos:R:3 pbc="T T T"
Ho 0.000 0.000 0.000
W 1.881 1.956 -1.959
W 1.881 -1.956 1.959
W -1.881 1.956 1.959
W 1.881 1.956 1.959
O 3.761 -1.600 1.626
O 1.449 1.868 0.000
O 2.312 -2.044 3.919
O 2.309 3.912 -2.014
O 1.452 0.000 1.904
O 3.761 1.600 1.626
O 0.000 2.312 2.293
O 2.309 3.912 2.014
O 1.452 0.000 5.933
O 1.449 5.956 0.000
O 2.312 2.044 3.919
O 0.000 5.511 2.293
```

Largest 8 diffraction maxima, most intense first, 2θ from 10° to 90°:
2θ (°)	I/Imax
33.03	100
22.71	72
32.34	49
58.11	44
46.38	30
23.66	30
16.34	23
59.42	23